Structure and theoretical powder X-ray diffraction pattern of Li2TiCo3P6O24 (the GGA+U geometry in Alexandria; Cu Kα, 1.54184 Å).

Structural model:
Cell: 8.579 8.579 8.579 Å, 60.30 60.30 60.30°
Atoms (fractional coordinates):
Li 0.000 0.000 0.000
Li 0.495 0.495 0.495
Ti 0.643 0.643 0.643
Co 0.143 0.143 0.143
Co 0.355 0.355 0.355
Co 0.857 0.857 0.857
P 0.044 0.457 0.750
P 0.248 0.958 0.543
P 0.457 0.750 0.044
P 0.543 0.248 0.958
P 0.750 0.044 0.457
P 0.958 0.543 0.248
O 0.005 0.619 0.809
O 0.056 0.265 0.914
O 0.086 0.941 0.736
O 0.121 0.502 0.307
O 0.191 0.996 0.380
O 0.237 0.438 0.588
O 0.265 0.914 0.056
O 0.307 0.121 0.502
O 0.380 0.191 0.996
O 0.413 0.766 0.561
O 0.438 0.588 0.237
O 0.502 0.307 0.121
O 0.505 0.688 0.879
O 0.561 0.413 0.766
O 0.588 0.237 0.438
O 0.619 0.809 0.005
O 0.688 0.879 0.505
O 0.736 0.086 0.941
O 0.766 0.561 0.413
O 0.809 0.005 0.619
O 0.879 0.505 0.688
O 0.914 0.056 0.265
O 0.941 0.736 0.086
O 0.996 0.380 0.191

The 10 most intense peaks (2θ = 10–90°), sorted by position:
2θ 14.57, intensity 23
2θ 20.67, intensity 84
2θ 24.27, intensity 100
2θ 29.38, intensity 32
2θ 32.02, intensity 15
2θ 33.00, intensity 34
2θ 36.13, intensity 35
2θ 47.35, intensity 16
2θ 49.69, intensity 19
2θ 56.52, intensity 21